No. 1
Theoretical powder XRD pattern of KTmScCl6 for λ = 1.5418 Å (Cu Kα), from a structure optimized by DFT (GGA-PBE).
Lines closer than 0.1° are merged.

abc: 6.7269 6.7269 14.1992
angles: 90.00 90.00 120.00
Space group P-31c (No. 163)
Inequivalent atoms, fractional coordinates:
K  0.0000  0.0000  0.0000 (multiplicity 2)
Tm  0.3333  0.6667  0.2500 (multiplicity 2)
Sc  0.3333  0.6667  0.7500 (multiplicity 2)
Cl  0.0026  0.3677  0.6440 (multiplicity 12)

Main lines, low angle first (10° ≤ 2θ ≤ 90°):
2θ 12.5, I = 95; 2θ 15.2, I = 29; 2θ 16.4, I = 61; 2θ 19.7, I = 96; 2θ 24.2, I = 27; 2θ 29.4, I = 81; 2θ 36.8, I = 100; 2θ 43.0, I = 25; 2θ 46.8, I = 37; 2θ 46.9, I = 29

***

No. 2
Theoretical powder XRD pattern of KSe2Cl4 for λ = 1.5418 Å (Cu Kα), from a structure optimized by DFT (GGA-PBE).
Lines closer than 0.1° are merged.

abc: 9.274 14.178 14.680
angles: 90.00 90.00 90.00
Space group F222 (No. 22)
Inequivalent atoms, fractional coordinates:
K  0.000  0.000  0.000 (multiplicity 4)
K  0.250  0.250  0.250 (multiplicity 4)
Se  0.128  0.060  0.718 (multiplicity 16)
Cl  0.056  0.161  0.842 (multiplicity 16)
Cl  0.185  0.065  0.388 (multiplicity 16)

Main lines, low angle first (10° ≤ 2θ ≤ 90°):
2θ 12.1, I = 100; 2θ 12.5, I = 62; 2θ 21.5, I = 16; 2θ 22.0, I = 30; 2θ 28.0, I = 80; 2θ 30.2, I = 36; 2θ 33.6, I = 17; 2θ 35.2, I = 14; 2θ 40.4, I = 18; 2θ 43.7, I = 17

***

No. 3
Theoretical powder XRD pattern of KSe2Cl8 for λ = 1.5418 Å (Cu Kα), from a structure optimized by DFT (GGA-PBE).
Lines closer than 0.1° are merged.

abc: 9.1317 9.1317 5.2016
angles: 90.00 90.00 120.00
Space group P-3 (No. 147)
Inequivalent atoms, fractional coordinates:
K  0.0000  0.0000  0.0000 (multiplicity 1)
Se  0.3333  0.6667  0.2639 (multiplicity 2)
Cl  0.1848  0.3724  0.2731 (multiplicity 6)
Cl  0.3333  0.6667  0.7712 (multiplicity 2)

Main lines, low angle first (10° ≤ 2θ ≤ 90°):
2θ 11.2, I = 35; 2θ 19.4, I = 96; 2θ 20.4, I = 100; 2θ 22.5, I = 50; 2θ 28.4, I = 24; 2θ 34.5, I = 25; 2θ 36.4, I = 22; 2θ 39.5, I = 65; 2θ 41.6, I = 35; 2θ 53.4, I = 54

***

No. 4
Theoretical powder XRD pattern of KSm2Cl5 for λ = 1.5418 Å (Cu Kα), from a structure optimized by DFT (GGA-PBE).
Lines closer than 0.1° are merged.

abc: 8.669 7.122 13.355
angles: 90.00 90.35 90.00
Space group P2_1/c (No. 14)
Inequivalent atoms, fractional coordinates:
K  0.004  0.055  0.334 (multiplicity 4)
Sm  0.295  0.030  0.999 (multiplicity 4)
Sm  0.490  0.603  0.158 (multiplicity 4)
Cl  0.026  0.673  0.424 (multiplicity 4)
Cl  0.249  0.648  0.685 (multiplicity 4)
Cl  0.263  0.160  0.794 (multiplicity 4)
Cl  0.294  0.050  0.499 (multiplicity 4)
Cl  0.475  0.693  0.366 (multiplicity 4)

Main lines, low angle first (10° ≤ 2θ ≤ 90°):
2θ 10.2, I = 100; 2θ 23.6, I = 59; 2θ 25.0, I = 73; 2θ 33.2, I = 55; 2θ 33.8, I = 35; 2θ 34.0, I = 26; 2θ 35.3, I = 34; 2θ 41.6, I = 32; 2θ 41.8, I = 21; 2θ 48.2, I = 20